TbBiIrO6: calculated powder XRD pattern (copper Kα), based on a crystal structure in Alexandria, relaxed with PBE.
Intensities are scaled so that the largest is 100.

Peak list (10 most intense, 2θ = 10–90°, low angle first)
| Position (°2θ) | Rel. int. | index |
| --- | --- | --- |
| 26.3 | 100 | 1 0 2 |
| 32.1 | 53 | 1 1 0 |
| 42.0 | 29 | 2 0 2 |
| 50.4 | 42 | 1 1 4 |
| 53.8 | 29 | 2 1 2 |
| 57.2 | 16 | 3 0 0 |
| 61.6 | 10 | 1 0 6 |
| 70.7 | 11 | 3 0 4 |
| 73.5 | 12 | 4 -1 2 |
| 79.7 | 11 | 4 -2 4 |

Atomic structure:
Lattice parameters (Å, degrees): 5.5755 5.5755 9.5133 90.00 90.00 120.00
Space group P-31c (No. 163)
One atom of each set of equivalent atoms:
Tb 0.3333 0.6667 0.2500 (multiplicity 2)
Bi 0.0000 0.0000 0.0000 (multiplicity 2)
Ir 0.3333 0.6667 0.7500 (multiplicity 2)
O 0.0406 0.3764 0.6334 (multiplicity 12)

Pr2ErAl3Pd4: calculated powder XRD pattern (copper Kα), based on a crystal structure in Alexandria, relaxed with PBE.
Intensities are scaled so that the largest is 100.

Peak list (10 most intense, 2θ = 10–90°, low angle first)
| Position (°2θ) | Rel. int. | index |
| --- | --- | --- |
| 21.8 | 12 | 1 0 1 |
| 26.1 | 22 | 1 0 2 |
| 32.0 | 30 | 1 0 3 |
| 33.2 | 100 | 1 1 2 |
| 41.0 | 46 | 2 0 0 |
| 46.7 | 17 | 1 0 5 |
| 52.9 | 15 | 2 1 3 |
| 59.4 | 15 | 2 2 0 |
| 63.8 | 13 | 2 1 5 |
| 69.7 | 27 | 3 1 2 |

Atomic structure:
Lattice parameters (Å, degrees): 4.403 4.403 10.850 90.00 90.00 90.00
Space group P-4m2 (No. 115)
One atom of each set of equivalent atoms:
Pr 0.000 0.500 0.232 (multiplicity 2)
Er 0.000 0.000 0.500 (multiplicity 1)
Al 0.000 0.500 0.883 (multiplicity 2)
Al 0.500 0.500 0.500 (multiplicity 1)
Pd 0.000 0.000 0.000 (multiplicity 1)
Pd 0.000 0.500 0.652 (multiplicity 2)
Pd 0.500 0.500 0.000 (multiplicity 1)

Tm8Al2Pb: calculated powder XRD pattern (copper Kα), based on a crystal structure in Alexandria, relaxed with PBE.
Intensities are scaled so that the largest is 100.

Peak list (10 most intense, 2θ = 10–90°, low angle first)
| Position (°2θ) | Rel. int. | index |
| --- | --- | --- |
| 29.2 | 10 | 1 1 -2 |
| 30.3 | 8 | 4 0 1 |
| 32.8 | 100 | 5 1 -1 |
| 35.4 | 24 | 4 0 -3 |
| 36.6 | 21 | 0 2 0 |
| 41.9 | 11 | 6 0 1 |
| 51.8 | 15 | 4 2 -3 |
| 56.8 | 8 | 6 2 1 |
| 61.9 | 12 | 9 1 -4 |
| 63.5 | 18 | 5 3 -1 |

Atomic structure:
Lattice parameters (Å, degrees): 16.463 4.912 7.906 90.00 112.33 90.00
Space group C2/m (No. 12)
One atom of each set of equivalent atoms:
Tm 0.051 0.000 0.225 (multiplicity 4)
Tm 0.104 0.500 0.962 (multiplicity 4)
Tm 0.159 0.000 0.727 (multiplicity 4)
Tm 0.181 0.500 0.443 (multiplicity 4)
Al 0.219 0.000 0.150 (multiplicity 4)
Pb 0.000 0.500 0.500 (multiplicity 2)

Ba2Tl6InHg: calculated powder XRD pattern (copper Kα), based on a crystal structure in Alexandria, relaxed with PBE.
Intensities are scaled so that the largest is 100.

Peak list (10 most intense, 2θ = 10–90°, low angle first)
| Position (°2θ) | Rel. int. | index |
| --- | --- | --- |
| 26.7 | 24 | 0 0 12 |
| 28.4 | 81 | 2 0 5 |
| 30.4 | 100 | 0 2 7 |
| 34.5 | 23 | 0 2 10 |
| 35.0 | 57 | 1 2 2 |
| 35.9 | 27 | 2 1 4 |
| 41.1 | 23 | 2 0 14 |
| 44.6 | 28 | 3 0 9 |
| 45.9 | 46 | 2 2 0 |
| 46.9 | 24 | 1 1 18 |

Atomic structure:
Lattice parameters (Å, degrees): 7.9019 7.9019 40.0270 90.00 90.00 120.00
Space group R-3m (No. 166, hexagonal axes)
One atom of each set of equivalent atoms:
Ba 0.0000 0.0000 0.1090 (multiplicity 6)
Ba 0.0000 0.0000 0.2836 (multiplicity 6)
Tl 0.0514 0.5257 0.3002 (multiplicity 18)
Tl 0.0610 0.5305 0.8666 (multiplicity 18)
In 0.0000 0.0000 0.4266 (multiplicity 6)
Hg 0.0000 0.0000 0.0000 (multiplicity 3)
Hg 0.0000 0.0000 0.5000 (multiplicity 3)

Ce2NdHo3Bi6: calculated powder XRD pattern (copper Kα), based on a crystal structure in Alexandria, relaxed with PBE.
Intensities are scaled so that the largest is 100.

Peak list (10 most intense, 2θ = 10–90°, low angle first)
| Position (°2θ) | Rel. int. | index |
| --- | --- | --- |
| 27.8 | 100 | 6 0 0 |
| 39.8 | 78 | 5 1 2 |
| 49.3 | 28 | 6 2 0 |
| 57.5 | 13 | 12 0 0 |
| 65.1 | 31 | 11 1 2 |
| 65.1 | 6 | 13 1 -2 |
| 72.2 | 21 | 10 0 4 |
| 72.3 | 7 | 14 0 -4 |
| 85.7 | 5 | 10 2 4 |
| 85.8 | 4 | 14 2 -4 |

Atomic structure:
Lattice parameters (Å, degrees): 19.735 4.536 9.061 90.00 103.19 90.00
Space group C2/m (No. 12)
One atom of each set of equivalent atoms:
Ce 0.166 0.000 0.332 (multiplicity 4)
Nd 0.000 0.500 0.000 (multiplicity 2)
Ho 0.000 0.500 0.500 (multiplicity 2)
Ho 0.166 0.000 0.833 (multiplicity 4)
Bi 0.001 0.000 0.744 (multiplicity 4)
Bi 0.165 0.500 0.587 (multiplicity 4)
Bi 0.169 0.500 0.079 (multiplicity 4)

Li5ScHg6: calculated powder XRD pattern (copper Kα), based on a crystal structure in Alexandria, relaxed with PBE.
Intensities are scaled so that the largest is 100.

Peak list (10 most intense, 2θ = 10–90°, low angle first)
| Position (°2θ) | Rel. int. | index |
| --- | --- | --- |
| 26.5 | 99 | 1 3 0 |
| 37.8 | 100 | 2 0 0 |
| 46.7 | 29 | 2 0 2 |
| 54.5 | 17 | 2 6 0 |
| 61.6 | 32 | 3 3 0 |
| 68.2 | 24 | 3 3 2 |
| 68.3 | 12 | 1 9 2 |
| 80.7 | 9 | 4 0 0 |
| 86.7 | 9 | 4 0 2 |
| 86.8 | 8 | 3 9 0 |

Atomic structure:
Lattice parameters (Å, degrees): 4.766 14.263 6.740 90.00 90.00 90.00
Space group Cmmm (No. 65)
One atom of each set of equivalent atoms:
Li 0.000 0.000 0.000 (multiplicity 2)
Li 0.000 0.332 0.500 (multiplicity 4)
Li 0.000 0.337 0.000 (multiplicity 4)
Sc 0.000 0.000 0.500 (multiplicity 2)
Hg 0.000 0.169 0.241 (multiplicity 8)
Hg 0.000 0.500 0.240 (multiplicity 4)